No. 1
Theoretical X-ray diffraction stick pattern
Compound: Gd2In3Ga3
Radiation: λ = 1.5418 Å (Cu Kα)
Structure: DFT lattice parameters and positions (PBE)
Kinematic intensities with the Lorentz-polarization factor, no thermal factor.

Cell lengths 6.563, 6.563, 4.867 Å; angles 90.00, 90.00, 120.00 degrees
Fractional coordinates of all 8 atoms:
Gd  0.000  0.000  0.000
Gd  0.333  0.667  0.500
In  0.353  0.177  0.500
In  0.823  0.177  0.500
In  0.823  0.647  0.500
Ga  0.517  0.033  0.000
Ga  0.517  0.483  0.000
Ga  0.967  0.483  0.000

Main lines, most intense first (10 to 90 degrees two-theta):
two_theta	I (rel.)
36.6	1000
31.5	265
36.9	222
69.0	186
56.1	176
66.3	170
49.3	149
68.8	136
24.1	92
77.8	36


No. 2
Theoretical X-ray diffraction stick pattern
Compound: SrAlAgSe3
Radiation: λ = 1.5418 Å (Cu Kα)
Structure: DFT lattice parameters and positions (PBE)
Kinematic intensities with the Lorentz-polarization factor, no thermal factor.

Cell lengths 7.889, 4.034, 9.169 Å; angles 90.00, 104.94, 90.00 degrees
Fractional coordinates of all 12 atoms:
Sr  0.220  0.250  0.268
Sr  0.780  0.750  0.732
Al  0.326  0.750  0.854
Al  0.674  0.250  0.146
Ag  0.078  0.250  0.594
Ag  0.922  0.750  0.406
Se  0.112  0.250  0.883
Se  0.290  0.750  0.557
Se  0.446  0.750  0.137
Se  0.554  0.250  0.863
Se  0.710  0.250  0.443
Se  0.888  0.750  0.117

Main lines, most intense first (10 to 90 degrees two-theta):
two_theta	I (rel.)
32.3	1000
30.2	625
44.9	431
32.0	403
35.3	394
37.1	380
35.7	377
37.8	316
13.2	302
11.6	260